Simulated XRD peak list
Compound: Sr2Ca5Mg5
Radiation: CuKα
Structure: a DFT-relaxed cell (GGA-PBE, Alexandria)
Kinematic intensities with the Lorentz-polarization factor, no thermal factor.

Largest 8 diffraction maxima, low angle first, 2θ = 15–90°:
15.44 deg, I = 24, hkl 1 0 0; 21.84 deg, I = 36, hkl 1 1 1; 26.04 deg, I = 33, hkl 0 1 3; 27.10 deg, I = 20, hkl 0 2 0; 30.42 deg, I = 100, hkl 1 1 3; 31.18 deg, I = 37, hkl 2 0 0; 31.34 deg, I = 39, hkl 1 2 0; 50.01 deg, I = 24, hkl 1 3 3

Structural model:
```
Sr2Ca5Mg5
1.0
5.737 0.000 0.000
0.000 6.580 0.000
0.000 0.000 12.016
Sr Ca Mg
2 5 5
Direct
0.000 0.000 0.000
0.000 0.500 0.500
0.000 0.000 0.320
0.000 0.000 0.680
0.000 0.500 0.165
0.000 0.500 0.835
0.500 0.000 0.500
0.500 0.250 0.235
0.500 0.250 0.765
0.500 0.500 0.000
0.500 0.750 0.235
0.500 0.750 0.765
```